No. 1
Calculated powder XRD pattern
Compound: Ce3PuI8
Radiation: Cu Kα (weighted mean of Kα1 and Kα2)
Structure: a PBE-relaxed structure
Peak positions follow from Bragg's law for the DFT cell and can differ from measured ones.

Most intense lines, 5 to 70 degrees two-theta, sorted by position:
d/Å	two_theta	I_rel
8.029	11.02	641
3.695	24.09	216
3.180	28.06	1000
3.158	28.26	490
2.950	30.29	199
2.350	38.31	217
2.340	38.46	428
2.160	41.83	169
2.153	41.97	335
1.783	51.25	280

Cell and atoms:
```
Ce3PuI8
1.0
7.449 -4.320 0.000
7.449 4.320 0.000
-5.023 0.000 8.029
Ce Pu I
3 1 8
direct
0.000 0.000 0.000
0.000 0.500 0.000
0.500 0.000 0.000
0.500 0.500 0.000
0.250 0.250 0.750
0.250 0.746 0.750
0.253 0.253 0.255
0.254 0.750 0.250
0.746 0.250 0.750
0.747 0.747 0.745
0.750 0.254 0.250
0.750 0.750 0.250
```

No. 2
Calculated powder XRD pattern
Compound: ScPbSeO5
Radiation: Cu Kα (weighted mean of Kα1 and Kα2)
Structure: a PBE-relaxed structure
Peak positions follow from Bragg's law for the DFT cell and can differ from measured ones.

Most intense lines, 5 to 70 degrees two-theta, sorted by position:
d/Å	two_theta	I_rel
5.413	16.38	653
4.696	18.90	741
3.650	24.38	503
3.474	25.64	550
3.312	26.92	593
3.275	27.23	992
2.825	31.67	1000
2.793	32.05	775
2.707	33.10	514
2.686	33.35	394

Cell and atoms:
```
ScPbSeO5
1.0
3.741 -4.696 0.000
3.741 4.696 0.000
-3.648 0.000 6.948
Sc Pb Se O
2 2 2 10
direct
0.000 0.500 0.000
0.500 0.000 0.500
0.049 0.951 0.750
0.951 0.049 0.250
0.449 0.551 0.750
0.551 0.449 0.250
0.195 0.805 0.250
0.207 0.269 0.092
0.269 0.207 0.592
0.301 0.629 0.902
0.371 0.699 0.598
0.629 0.301 0.402
0.699 0.371 0.098
0.731 0.793 0.408
0.793 0.731 0.908
0.805 0.195 0.750
```

No. 3
Calculated powder XRD pattern
Compound: La4Sm3Tm4
Radiation: Cu Kα (weighted mean of Kα1 and Kα2)
Structure: a PBE-relaxed structure
Peak positions follow from Bragg's law for the DFT cell and can differ from measured ones.

Most intense lines, 5 to 70 degrees two-theta, sorted by position:
d/Å	two_theta	I_rel
2.962	30.17	1000
2.948	30.31	982
2.566	34.97	672
2.546	35.25	334
1.821	50.09	122
1.808	50.49	593
1.549	59.68	288
1.543	59.93	279
1.538	60.17	212
1.481	62.73	125

Cell and atoms:
```
La4Sm3Tm4
1.0
3.642 0.000 0.000
-0.002 5.092 0.000
-1.814 -2.542 19.890
La Sm Tm
4 3 4
direct
0.046 0.046 0.092
0.317 0.317 0.634
0.683 0.683 0.366
0.954 0.954 0.908
0.136 0.136 0.273
0.500 0.500 0.000
0.864 0.864 0.727
0.228 0.228 0.457
0.407 0.408 0.815
0.593 0.592 0.185
0.772 0.772 0.543
```